Computed powder diffraction line list
Compound: Th2Pa2SiOs4
Radiation: CuKα
Structure: a crystal structure in Alexandria, relaxed with PBE
Lines closer than 0.1° are merged.

Largest 6 diffraction maxima, by angle, 15° ≤ 2θ ≤ 90°:
34.05°, I 100
39.73°, I 42
43.14°, I 12
56.96°, I 16
57.44°, I 14
68.48°, I 26

Cell and atoms:
```
Th2Pa2SiOs4
1.0
-3.2086 3.2086 4.6080
3.2086 -3.2086 4.6080
3.2086 3.2086 -4.6080
Th Pa Si Os
2 2 1 4
Direct
0.2500 0.7500 0.5000
0.7500 0.2500 0.5000
0.1868 0.1868 0.0000
0.8132 0.8132 0.0000
0.5000 0.5000 0.0000
0.2387 0.2387 0.4774
0.2387 0.7613 0.0000
0.7613 0.2387 0.0000
0.7613 0.7613 0.5226
```